[1]
CePr4O10: computed XRD peak list (Cu Kα (λ = 1.5418 Å)), based on DFT lattice parameters and positions (PBE).
Intensities are scaled so that the largest is 100.

Crystal structure
Lattice parameters (Å, degrees): 4.0206 4.0206 48.9562 90.00 90.00 120.00
Space group R-3m (No. 166, hexagonal axes)
Symmetry-distinct sites (fractional):
Ce  0.0000  0.0000  0.0000 (multiplicity 3)
Pr  0.0000  0.0000  0.2006 (multiplicity 6)
Pr  0.0000  0.0000  0.3984 (multiplicity 6)
O  0.0000  0.0000  0.0467 (multiplicity 6)
O  0.0000  0.0000  0.1499 (multiplicity 6)
O  0.0000  0.0000  0.2506 (multiplicity 6)
O  0.0000  0.0000  0.3473 (multiplicity 6)
O  0.0000  0.0000  0.4496 (multiplicity 6)

Top 10 peaks for 5 to 70 degrees two-theta, most intense first:
| d_spacing | intensity | h k l |
| --- | --- | --- |
| 3.281 | 100 | 0 1 5 |
| 1.712 | 45 | 2 0 5 |
| 2.837 | 39 | 1 0 10 |
| 2.010 | 37 | 1 1 0 |
| 2.002 | 36 | 0 1 20 |
| 3.264 | 32 | 0 0 15 |
| 1.707 | 15 | 1 0 25 |
| 1.419 | 11 | 2 0 20 |
| 1.640 | 9 | 0 2 10 |
| 1.632 | 3 | 0 0 30 |

---

[2]
In2Sn3S7: computed XRD peak list (Cu Kα (λ = 1.5418 Å)), based on DFT lattice parameters and positions (PBE).
Intensities are scaled so that the largest is 100.

Crystal structure
Lattice parameters (Å, degrees): 11.4993 3.8472 13.0811 90.00 105.84 90.00
Space group P2_1/m (No. 11)
Symmetry-distinct sites (fractional):
In  0.0130  0.2500  0.1230 (multiplicity 2)
In  0.0229  0.7500  0.3844 (multiplicity 2)
Sn  0.3260  0.2500  0.0083 (multiplicity 2)
Sn  0.3314  0.2500  0.7203 (multiplicity 2)
Sn  0.3879  0.2500  0.3872 (multiplicity 2)
S  0.1114  0.2500  0.8188 (multiplicity 2)
S  0.1207  0.7500  0.5872 (multiplicity 2)
S  0.1408  0.7500  0.0642 (multiplicity 2)
S  0.1543  0.2500  0.3279 (multiplicity 2)
S  0.3819  0.7500  0.5287 (multiplicity 2)
S  0.4021  0.7500  0.8828 (multiplicity 2)
S  0.4113  0.7500  0.2630 (multiplicity 2)

Top 10 peaks for 5 to 70 degrees two-theta, most intense first:
| d_spacing | intensity | h k l |
| --- | --- | --- |
| 3.687 | 100 | 3 0 0 |
| 2.877 | 84 | 1 1 -3 |
| 1.924 | 70 | 0 2 0 |
| 2.833 | 68 | 1 0 4 |
| 1.890 | 66 | 1 1 -6 |
| 3.018 | 49 | 2 1 -2 |
| 3.635 | 49 | 1 1 0 |
| 2.281 | 49 | 4 1 -2 |
| 3.277 | 47 | 1 1 -2 |
| 2.461 | 45 | 2 0 4 |

---

[3]
TlO: computed XRD peak list (Cu Kα (λ = 1.5418 Å)), based on DFT lattice parameters and positions (PBE).
Intensities are scaled so that the largest is 100.

Crystal structure
Lattice parameters (Å, degrees): 3.1813 3.1813 3.1813 90.00 90.00 90.00
Space group Pm-3m (No. 221)
Symmetry-distinct sites (fractional):
Tl  0.0000  0.0000  0.0000 (multiplicity 1)
O  0.5000  0.5000  0.5000 (multiplicity 1)

Top 5 peaks for 5 to 70 degrees two-theta, most intense first:
| d_spacing | intensity | h k l |
| --- | --- | --- |
| 2.250 | 100 | 1 1 0 |
| 3.181 | 91 | 1 0 0 |
| 1.423 | 36 | 2 1 0 |
| 1.837 | 27 | 1 1 1 |
| 1.591 | 17 | 2 0 0 |